For KLi3I3, a crystal structure in Alexandria, relaxed with PBE gives the computed powder X-ray diffraction pattern in this record (copper Kα).
Kinematic intensities with the Lorentz-polarization factor, no thermal factor.

Largest 8 diffraction maxima, in order of rising 2θ, 2θ = 10–90°:
2θ (°), intensity
15.51, 20
24.63, 100
27.03, 41
38.60, 22
40.24, 27
41.83, 24
51.85, 25
61.83, 22

Cell and atoms:
abc: 8.081 8.081 8.081
angles: 90.00 90.00 90.00
Space group Pm-3n (No. 223)
Symmetry-distinct sites (fractional):
K1 0.000 0.000 0.000
Li1 0.000 0.250 0.500
I1 0.000 0.500 0.250